Diffraction record for NaAsPdPb. The powder XRD pattern is theoretical, not measured: it uses a PBE-relaxed structure and Cu Kα (weighted mean of Kα1 and Kα2).

Cell and atoms:
```
NaAsPdPb
1.0
3.7472 -2.1527 0.0000
3.7472 2.1527 0.0000
-2.4824 0.0000 6.2223
Na As Pd Pb
1 1 1 1
Direct
0.0000 0.0000 0.0000 Na
0.4277 0.4277 0.2840 As
0.7822 0.7822 0.3501 Pd
0.1971 0.1971 0.5988 Pb
```

Main lines, in order of rising 2θ (5 to 70 degrees two-theta):
Position (°2θ), Rel. int.
14.2, 100
24.3, 27
25.7, 37
30.6, 53
33.8, 34
34.0, 68
41.6, 20
41.8, 47
42.0, 23
44.4, 24
54.9, 35
62.1, 18

=====

Diffraction record for SmMg3Ag. The powder XRD pattern is theoretical, not measured: it uses a PBE-relaxed structure and Cu Kα (weighted mean of Kα1 and Kα2).

Cell and atoms:
```
SmMg3Ag
1.0
9.2560 0.0000 0.0000
0.0000 4.3573 0.0000
0.0000 0.0000 12.1244
Sm Mg Ag
4 12 4
Direct
0.1673 0.2500 0.0070 Sm
0.3327 0.7500 0.5070 Sm
0.6673 0.2500 0.4930 Sm
0.8327 0.7500 0.9930 Sm
0.0540 0.2500 0.4148 Mg
0.0962 0.7500 0.2256 Mg
0.1490 0.7500 0.7905 Mg
0.3510 0.2500 0.2905 Mg
0.4038 0.2500 0.7256 Mg
0.4460 0.7500 0.9148 Mg
0.5540 0.2500 0.0852 Mg
0.5962 0.7500 0.2744 Mg
0.6490 0.7500 0.7095 Mg
0.8510 0.2500 0.2095 Mg
0.9038 0.2500 0.7744 Mg
0.9460 0.7500 0.5852 Mg
0.1370 0.2500 0.6326 Ag
0.3630 0.7500 0.1326 Ag
0.6370 0.2500 0.8674 Ag
0.8630 0.7500 0.3674 Ag
```

Main lines, in order of rising 2θ (5 to 70 degrees two-theta):
Position (°2θ), Rel. int.
14.6, 34
17.5, 31
24.0, 27
28.1, 62
31.7, 100
31.8, 60
36.6, 30
38.7, 20
41.4, 29
43.8, 19
56.5, 17
58.8, 18

=====

- Which formula does entry 2 have?
  SmMg3Ag

=====

- What is the formula in the second record?
  SmMg3Ag